Entry 1:
This entry pairs a crystal structure of Dy2Zn3In3 with its simulated powder diffractogram. Radiation: Cu Kα X-rays. Structure: a DFT-relaxed cell (GGA-PBE, Alexandria).
Peak positions follow from Bragg's law for the DFT cell and can differ from measured ones.

Structural model:
```
data_Dy2Zn3In3
_chemical_formula_sum 'Dy2 Zn3 In3'
_cell_length_a 4.407
_cell_length_b 4.451
_cell_length_c 8.915
_cell_angle_alpha 90.00
_cell_angle_beta 90.00
_cell_angle_gamma 90.00
_symmetry_space_group_name_H-M 'P m m m'
_symmetry_Int_Tables_number 47
_symmetry_space_group_name_Hall '-P 2 2'
loop_
_atom_site_label
_atom_site_type_symbol
_atom_site_fract_x
_atom_site_fract_y
_atom_site_fract_z
Dy1 Dy 0.000 0.000 0.244
Zn1 Zn 0.500 0.000 0.000
Zn2 Zn 0.500 0.500 0.239
In1 In 0.000 0.500 0.000
In2 In 0.000 0.500 0.500
In3 In 0.500 0.000 0.500
```

Main lines, low angle first (2θ from 10° to 90°):
| (hkl) | two_theta | I_rel |
| --- | --- | --- |
| 1 1 2 | 35.02 | 100 |
| 0 2 0 | 40.50 | 33 |
| 2 0 0 | 40.96 | 16 |
| 0 2 4 | 58.62 | 11 |
| 2 2 0 | 58.97 | 21 |
| 1 3 2 | 70.14 | 25 |
| 3 1 2 | 70.77 | 12 |
| 2 2 4 | 73.98 | 11 |

Entry 2:
This entry pairs a crystal structure of Dy5Zn2In2 with its simulated powder diffractogram. Radiation: Cu Kα X-rays. Structure: a DFT-relaxed cell (GGA-PBE, Alexandria).
Peak positions follow from Bragg's law for the DFT cell and can differ from measured ones.

Structural model:
```
data_Dy5Zn2In2
_chemical_formula_sum 'Dy20 Zn8 In8'
_cell_length_a 16.331
_cell_length_b 8.276
_cell_length_c 7.122
_cell_angle_alpha 90.00
_cell_angle_beta 90.00
_cell_angle_gamma 90.00
_symmetry_space_group_name_H-M 'C m c e'
_symmetry_Int_Tables_number 64
_symmetry_space_group_name_Hall '-C 2ac 2'
loop_
_atom_site_label
_atom_site_type_symbol
_atom_site_fract_x
_atom_site_fract_y
_atom_site_fract_z
Dy1 Dy 0.000 0.000 0.000
Dy2 Dy 0.133 0.191 0.329
Zn1 Zn 0.000 0.126 0.609
In1 In 0.219 0.000 0.000
```

Main lines, low angle first (2θ from 10° to 90°):
| (hkl) | two_theta | I_rel |
| --- | --- | --- |
| 4 2 0 | 30.76 | 83 |
| 3 1 2 | 31.92 | 61 |
| 5 1 1 | 32.03 | 26 |
| 0 2 2 | 33.19 | 47 |
| 4 0 2 | 33.35 | 100 |
| 1 3 1 | 35.32 | 41 |
| 1 1 3 | 39.89 | 22 |
| 4 4 1 | 51.11 | 27 |

Entry 3:
This entry pairs a crystal structure of DyZn9In2 with its simulated powder diffractogram. Radiation: Cu Kα X-rays. Structure: a DFT-relaxed cell (GGA-PBE, Alexandria).
Peak positions follow from Bragg's law for the DFT cell and can differ from measured ones.

Structural model:
```
data_DyZn9In2
_chemical_formula_sum 'Dy3 Zn27 In6'
_cell_length_a 5.4233
_cell_length_b 5.4233
_cell_length_c 25.2223
_cell_angle_alpha 90.00
_cell_angle_beta 90.00
_cell_angle_gamma 120.00
_symmetry_space_group_name_H-M 'R -3 m'
_symmetry_Int_Tables_number 166
_symmetry_space_group_name_Hall '-R 3 2"'
loop_
_atom_site_label
_atom_site_type_symbol
_atom_site_fract_x
_atom_site_fract_y
_atom_site_fract_z
Dy1 Dy 0.0000 0.0000 0.0000
Zn1 Zn 0.0000 0.0000 0.3322
Zn2 Zn 0.0000 0.0000 0.5000
Zn3 Zn 0.0017 0.5008 0.9171
In1 In 0.0000 0.0000 0.1379
```

Main lines, low angle first (2θ from 10° to 90°):
| (hkl) | two_theta | I_rel |
| --- | --- | --- |
| 1 0 7 | 31.29 | 34 |
| 1 1 0 | 33.03 | 45 |
| 0 1 8 | 34.26 | 33 |
| 0 2 1 | 38.50 | 40 |
| 1 1 6 | 39.55 | 100 |
| 3 0 6 | 63.40 | 24 |
| 2 0 14 | 65.29 | 20 |
| 2 2 0 | 69.31 | 24 |

Entry 4:
This entry pairs a crystal structure of Dy5Ir4 with its simulated powder diffractogram. Radiation: Cu Kα X-rays. Structure: a DFT-relaxed cell (GGA-PBE, Alexandria).
Peak positions follow from Bragg's law for the DFT cell and can differ from measured ones.

Structural model:
```
data_Dy5Ir4
_chemical_formula_sum 'Dy10 Ir8'
_cell_length_a 10.458
_cell_length_b 4.288
_cell_length_c 9.789
_cell_angle_alpha 90.00
_cell_angle_beta 112.11
_cell_angle_gamma 90.00
_symmetry_space_group_name_H-M 'C 1 2/m 1'
_symmetry_Int_Tables_number 12
_symmetry_space_group_name_Hall '-C 2y'
loop_
_atom_site_label
_atom_site_type_symbol
_atom_site_fract_x
_atom_site_fract_y
_atom_site_fract_z
Dy1 Dy 0.000 0.000 0.000
Dy2 Dy 0.110 0.000 0.397
Dy3 Dy 0.245 0.000 0.822
Ir1 Ir 0.051 0.500 0.853
Ir2 Ir 0.117 0.500 0.618
```

Main lines, low angle first (2θ from 10° to 90°):
| (hkl) | two_theta | I_rel |
| --- | --- | --- |
| 1 1 2 | 32.38 | 87 |
| 3 1 -1 | 33.12 | 83 |
| 1 1 -3 | 34.58 | 98 |
| 3 1 -3 | 38.46 | 73 |
| 3 1 1 | 39.07 | 60 |
| 0 2 0 | 42.12 | 100 |
| 4 2 1 | 61.07 | 26 |
| 7 1 -2 | 66.45 | 30 |